For Ho8TcSn2, a cell relaxed with GGA-PBE gives the theoretical XRD peak list in this record (Cu Kα).
Neutral-atom scattering factors, no anomalous dispersion.

Cell and atoms:
```
11
Lattice="8.5874 -2.7372 0.0000 8.5874 2.7372 0.0000 -2.7909 0.0000 6.3448" Properties=species:S:1:pos:R:3 pbc="T T T"
Ho 16.4881 0.0000 1.5447
Ho -2.1042 0.0000 4.8001
Ho 2.7318 0.0000 1.2239
Ho 6.0315 0.0000 0.8481
Ho 4.7310 0.0000 3.8735
Ho 9.6529 0.0000 2.4713
Ho 8.3524 0.0000 5.4967
Ho 11.6521 0.0000 5.1209
Tc 8.5874 0.0000 0.0000
Sn 1.2907 0.0000 4.3573
Sn 13.0932 0.0000 1.9875
```

Peak list (10 most intense, 2θ = 10–90°, sorted by position)
28.14°, I 17; 32.72°, I 41; 32.85°, I 43; 35.11°, I 100; 43.68°, I 11; 52.83°, I 10; 53.61°, I 16; 59.95°, I 22; 63.56°, I 18; 64.24°, I 18

***

For Na2CaSn2Hg2, a cell relaxed with GGA-PBE gives the theoretical XRD peak list in this record (Cu Kα).
Neutral-atom scattering factors, no anomalous dispersion.

Cell and atoms:
```
7
Lattice="2.5422 1.4677 8.0858 -2.5422 1.4677 8.0858 0.0000 -2.9355 8.0858" Properties=species:S:1:pos:R:3 pbc="T T T"
Na 0.0000 0.0000 3.5293
Na 0.0000 0.0000 20.7282
Ca 0.0000 0.0000 0.0000
Sn 0.0000 0.0000 10.1491
Sn 0.0000 0.0000 14.1083
Hg 0.0000 0.0000 6.7448
Hg 0.0000 0.0000 17.5127
```

Peak list (10 most intense, 2θ = 10–90°, sorted by position)
10.94°, I 33; 20.50°, I 29; 21.47°, I 28; 21.99°, I 25; 32.89°, I 100; 35.31°, I 95; 41.98°, I 29; 49.02°, I 33; 61.84°, I 33; 63.37°, I 17

***

For Y2MgU2Ru5, a cell relaxed with GGA-PBE gives the theoretical XRD peak list in this record (Cu Kα).
Neutral-atom scattering factors, no anomalous dispersion.

Cell and atoms:
```
20
Lattice="10.8401 0.0000 0.0000 0.0000 10.8401 0.0000 0.0000 0.0000 3.3061" Properties=species:S:1:pos:R:3 pbc="T T T"
Y 1.7574 3.6627 0.0000
Y 3.6627 9.0827 0.0000
Y 7.1774 1.7574 0.0000
Y 9.0827 7.1774 0.0000
Mg 0.0000 0.0000 0.0000
Mg 5.4200 5.4200 0.0000
U 1.6345 7.0545 0.0000
U 3.7855 1.6345 0.0000
U 7.0545 9.2055 0.0000
U 9.2055 3.7855 0.0000
Ru 0.0000 5.4200 1.6531
Ru 0.5924 8.6183 1.6531
Ru 2.2218 0.5924 1.6531
Ru 3.1983 6.0124 1.6531
Ru 4.8277 3.1983 1.6531
Ru 5.4200 0.0000 1.6531
Ru 6.0124 7.6418 1.6531
Ru 7.6418 4.8277 1.6531
Ru 8.6183 10.2477 1.6531
Ru 10.2477 2.2218 1.6531
```

Peak list (10 most intense, 2θ = 10–90°, sorted by position)
11.54°, I 35; 18.30°, I 75; 31.70°, I 19; 35.12°, I 60; 37.81°, I 100; 40.56°, I 20; 43.16°, I 45; 44.00°, I 24; 67.48°, I 18; 72.27°, I 18

***

For Tb3Y4Zn, a cell relaxed with GGA-PBE gives the theoretical XRD peak list in this record (Cu Kα).
Neutral-atom scattering factors, no anomalous dispersion.

Cell and atoms:
```
8
Lattice="3.5667 0.0000 0.0000 0.0000 3.5667 0.0000 0.0000 0.0000 18.8293" Properties=species:S:1:pos:R:3 pbc="T T T"
Tb 0.0000 0.0000 0.0000
Tb 0.0000 0.0000 5.0500
Tb 0.0000 0.0000 13.7793
Y 1.7833 1.7833 2.5389
Y 1.7833 1.7833 7.6298
Y 1.7833 1.7833 11.1995
Y 1.7833 1.7833 16.2904
Zn 0.0000 0.0000 9.4147
```

Peak list (10 most intense, 2θ = 10–90°, sorted by position)
28.79°, I 17; 31.47°, I 100; 33.31°, I 11; 35.60°, I 44; 49.55°, I 14; 51.23°, I 15; 53.23°, I 12; 59.94°, I 13; 61.37°, I 29; 82.70°, I 10

***

For YZr6Sc12, a cell relaxed with GGA-PBE gives the theoretical XRD peak list in this record (Cu Kα).
Neutral-atom scattering factors, no anomalous dispersion.

Cell and atoms:
```
19
Lattice="6.1225 3.5348 3.8253 -6.1225 3.5348 3.8253 0.0000 -7.0697 3.8253" Properties=species:S:1:pos:R:3 pbc="T T T"
Y 0.0000 0.0000 0.0000
Zr 0.0000 -3.8399 4.4210
Zr -3.3255 1.9200 4.4210
Zr -3.3255 -1.9200 7.0549
Zr 3.3255 1.9200 4.4210
Zr 3.3255 -1.9200 7.0549
Zr 0.0000 3.8399 7.0549
Sc -2.3371 -4.0480 5.7379
Sc -4.6742 0.0000 5.7379
Sc -1.7323 -1.0002 4.3122
Sc 1.7323 -1.0002 4.3122
Sc 0.0000 2.0003 4.3122
Sc 2.3371 -4.0480 5.7379
Sc -2.3371 4.0480 5.7379
Sc 0.0000 -2.0003 7.1637
Sc -1.7323 1.0002 7.1637
Sc 1.7323 1.0002 7.1637
Sc 4.6742 0.0000 5.7379
Sc 2.3371 4.0480 5.7379
```

Peak list (10 most intense, 2θ = 10–90°, sorted by position)
14.47°, I 36; 17.57°, I 50; 29.17°, I 54; 31.40°, I 100; 34.26°, I 34; 34.55°, I 65; 35.58°, I 51; 37.37°, I 60; 37.63°, I 42; 40.25°, I 58

***

For NaLaNp2O8, a cell relaxed with GGA-PBE gives the theoretical XRD peak list in this record (Cu Kα).
Neutral-atom scattering factors, no anomalous dispersion.

Cell and atoms:
```
12
Lattice="-2.7293 2.7293 5.2022 2.7293 -2.7293 5.2022 2.7293 2.7293 -5.2022" Properties=species:S:1:pos:R:3 pbc="T T T"
Na 0.0000 0.0000 0.0000
La 2.7293 0.0000 2.6011
Np 0.0000 0.0000 5.2022
Np 0.0000 2.7293 2.6011
O 1.5460 1.3710 -1.3004
O 3.9127 1.3710 -1.3004
O 1.3710 1.5460 1.3004
O 1.3583 -1.1834 6.5026
O -1.1834 1.3583 3.9018
O 1.1834 1.3583 3.9018
O 1.3710 3.9127 1.3004
O 1.3583 1.1834 6.5026
```

Peak list (10 most intense, 2θ = 10–90°, sorted by position)
18.35°, I 43; 28.80°, I 100; 32.81°, I 22; 37.86°, I 12; 47.09°, I 18; 48.34°, I 34; 56.14°, I 32; 58.32°, I 18; 78.12°, I 14; 88.48°, I 11

***

For K2MnHgBr6, a cell relaxed with GGA-PBE gives the theoretical XRD peak list in this record (Cu Kα).
Neutral-atom scattering factors, no anomalous dispersion.

Cell and atoms:
```
10
Lattice="7.2686 0.0000 0.0000 -3.3585 6.7744 0.0000 -3.4969 -2.3602 6.6472" Properties=species:S:1:pos:R:3 pbc="T T T"
K -1.7271 1.2051 1.9048
K 2.1402 3.2090 4.7424
Mn 1.8858 -1.1801 3.3236
Hg 1.9550 3.3872 0.0000
Br -3.6746 4.9299 2.1288
Br -0.2331 4.4369 0.9758
Br -1.4138 3.2521 4.5414
Br 1.8269 1.1621 2.1057
Br 0.6462 -0.0228 5.6714
Br 4.0877 -0.5157 4.5184
```

Peak list (10 most intense, 2θ = 10–90°, sorted by position)
15.70°, I 99; 16.08°, I 69; 16.94°, I 60; 26.40°, I 54; 28.90°, I 44; 31.71°, I 100; 32.49°, I 59; 34.28°, I 51; 38.32°, I 52; 46.46°, I 45

***

For Ac5LaPt6, a cell relaxed with GGA-PBE gives the theoretical XRD peak list in this record (Cu Kα).
Neutral-atom scattering factors, no anomalous dispersion.

Cell and atoms:
```
12
Lattice="3.7842 -6.5536 0.0000 3.7842 6.5536 0.0000 -2.5385 0.0000 7.1346" Properties=species:S:1:pos:R:3 pbc="T T T"
Ac 0.0000 0.0000 0.0000
Ac 2.5150 4.3738 3.5673
Ac 3.7842 2.1980 0.0000
Ac 3.7842 -2.1980 0.0000
Ac 2.5150 -4.3738 3.5673
La 2.5150 0.0000 3.5673
Pt 1.2786 2.1488 1.8050
Pt 0.0320 0.0000 5.3342
Pt 1.2786 -2.1488 1.8050
Pt 3.7514 2.1488 5.3296
Pt 4.9980 0.0000 1.8005
Pt 3.7514 -2.1488 5.3296
```

Peak list (10 most intense, 2θ = 10–90°, sorted by position)
28.90°, I 100; 41.33°, I 77; 51.21°, I 28; 59.91°, I 9; 67.76°, I 6; 67.83°, I 24; 67.90°, I 6; 75.34°, I 23; 75.43°, I 5; 89.76°, I 8

***

For LiCr2PbCl8, a cell relaxed with GGA-PBE gives the theoretical XRD peak list in this record (Cu Kα).
Neutral-atom scattering factors, no anomalous dispersion.

Cell and atoms:
```
12
Lattice="6.0413 0.0000 0.0000 0.0000 7.6810 0.0000 -0.3893 0.0000 6.2569" Properties=species:S:1:pos:R:3 pbc="T T T"
Li 0.0000 0.0000 0.0000
Cr 2.8260 1.8017 3.1284
Cr 2.8260 5.8793 3.1284
Pb 0.0000 3.8405 0.0000
Cl 1.4666 1.7341 1.1843
Cl 1.4666 5.9470 1.1843
Cl 1.4774 0.0000 4.0815
Cl 1.5675 3.8405 4.0115
Cl 4.0844 3.8405 2.2453
Cl 4.1746 0.0000 2.1754
Cl 4.1853 1.7341 5.0725
Cl 4.1853 5.9470 5.0725
```

Peak list (10 most intense, 2θ = 10–90°, sorted by position)
11.52°, I 61; 18.29°, I 66; 18.71°, I 68; 19.80°, I 100; 21.09°, I 64; 24.09°, I 40; 27.54°, I 52; 31.52°, I 63; 40.00°, I 61; 49.75°, I 40

***

For RbLi2MnCl6, a cell relaxed with GGA-PBE gives the theoretical XRD peak list in this record (Cu Kα).
Neutral-atom scattering factors, no anomalous dispersion.

Cell and atoms:
```
10
Lattice="6.6102 0.0000 0.0000 3.2555 6.0935 0.0000 2.8187 0.5760 6.9426" Properties=species:S:1:pos:R:3 pbc="T T T"
Rb 0.0000 0.0000 0.0000
Li 6.6814 6.0355 2.2417
Li 6.0572 2.0582 5.0034
Mn 9.8781 3.9617 4.1012
Cl 4.4722 5.7947 3.3196
Cl 4.6384 3.8151 5.8949
Cl 4.4045 1.9296 3.2095
Cl 6.0464 0.6340 6.8666
Cl 8.1663 3.2278 5.4272
Cl 8.3911 4.2021 2.4025
```

Peak list (10 most intense, 2θ = 10–90°, sorted by position)
15.96°, I 100; 16.72°, I 38; 18.60°, I 99; 20.21°, I 41; 25.66°, I 42; 25.91°, I 45; 28.54°, I 39; 29.42°, I 34; 30.84°, I 61; 33.28°, I 46

***

For Li2Mg4Ir, a cell relaxed with GGA-PBE gives the theoretical XRD peak list in this record (Cu Kα).
Neutral-atom scattering factors, no anomalous dispersion.

Cell and atoms:
```
7
Lattice="2.2826 1.3179 7.4331 -2.2826 1.3179 7.4331 0.0000 -2.6357 7.4331" Properties=species:S:1:pos:R:3 pbc="T T T"
Li 0.0000 0.0000 5.3987
Li 0.0000 0.0000 16.9007
Mg 0.0000 0.0000 2.8312
Mg 0.0000 0.0000 8.4094
Mg 0.0000 0.0000 13.8900
Mg 0.0000 0.0000 19.4681
Ir 0.0000 0.0000 11.1497
```

Peak list (10 most intense, 2θ = 10–90°, sorted by position)
11.91°, I 100; 22.84°, I 66; 23.90°, I 70; 30.21°, I 30; 36.22°, I 27; 39.52°, I 82; 41.38°, I 30; 46.69°, I 27; 54.66°, I 19; 71.64°, I 21

***

For Ba2ScTi2BiO9, a cell relaxed with GGA-PBE gives the theoretical XRD peak list in this record (Cu Kα).
Neutral-atom scattering factors, no anomalous dispersion.

Cell and atoms:
```
15
Lattice="2.8826 -8.5230 0.0000 2.8826 8.5230 0.0000 0.0000 0.0000 4.0465" Properties=species:S:1:pos:R:3 pbc="T T T"
Ba 2.8826 5.6765 0.0000
Ba 2.8826 -5.6765 0.0000
Sc 0.0000 0.0000 2.0232
Ti 2.8826 2.8233 2.0232
Ti 2.8826 -2.8233 2.0232
Bi 2.8826 0.0000 0.0000
O 0.0000 0.0000 0.0000
O 1.4413 4.2615 2.0232
O 1.5582 1.4153 2.0232
O 2.8826 2.7734 0.0000
O 1.5582 -1.4153 2.0232
O 1.4413 -4.2615 2.0232
O 4.2070 1.4153 2.0232
O 2.8826 -2.7734 0.0000
O 4.2070 -1.4153 2.0232
```

Peak list (10 most intense, 2θ = 10–90°, sorted by position)
21.96°, I 41; 31.02°, I 26; 31.26°, I 100; 31.49°, I 24; 38.34°, I 21; 38.73°, I 20; 44.79°, I 49; 55.34°, I 20; 55.92°, I 19; 65.21°, I 20

***

For K2SrSiTe4, a cell relaxed with GGA-PBE gives the theoretical XRD peak list in this record (Cu Kα).
Neutral-atom scattering factors, no anomalous dispersion.

Cell and atoms:
```
16
Lattice="-4.1519 5.1449 6.6296 4.1519 -5.1449 6.6296 4.1519 5.1449 -6.6296" Properties=species:S:1:pos:R:3 pbc="T T T"
K 0.0000 0.0000 0.0000
K -2.0759 2.5724 3.3148
K 0.0000 5.1449 0.0000
K 2.0759 2.5724 3.3148
Sr 4.1519 0.0000 0.0000
Sr 0.0000 0.0000 6.6296
Si 2.0759 2.5724 -3.3148
Si 2.0759 -2.5724 3.3148
Te 4.1519 -0.6207 3.2879
Te 4.1519 4.5242 -3.2879
Te 2.1315 2.5724 -0.4153
Te 6.1723 2.5724 -0.4153
Te -2.0204 2.5724 7.0449
Te 2.0204 2.5724 7.0449
Te 0.0000 0.6207 9.9175
Te 0.0000 5.7656 3.3417
```

Peak list (10 most intense, 2θ = 10–90°, sorted by position)
10.88°, I 36; 21.87°, I 21; 25.31°, I 24; 26.89°, I 62; 27.61°, I 100; 30.80°, I 27; 33.06°, I 22; 34.59°, I 21; 34.90°, I 25; 38.93°, I 61